Simulated powder diffractogram of BaAc2Cr2N6 for Cu Kα X-rays, from DFT lattice parameters and positions (GGA-PBE).
Intensities are scaled so that the largest is 100.

Largest 10 diffraction maxima, in order of falling intensity, 2θ = 10–90°:
| 2θ/deg | I (rel.) | index |
| --- | --- | --- |
| 29.70 | 100 | 2 1 1 |
| 27.03 | 60 | 1 -1 0 |
| 25.61 | 60 | 1 0 -1 |
| 29.39 | 41 | 1 0 2 |
| 25.48 | 35 | 0 1 -1 |
| 26.28 | 29 | 1 1 2 |
| 18.74 | 26 | 1 0 1 |
| 18.12 | 24 | 1 1 1 |
| 49.44 | 23 | 3 0 1 |
| 29.51 | 21 | 0 1 2 |

Structure:
```
data_BaAc2Cr2N6
_chemical_formula_sum 'Ba1 Ac2 Cr2 N6'
_space_group_name_H-M_alt 'P -1'
_space_group_IT_number 2
_cell_length_a 6.0472
_cell_length_b 6.0507
_cell_length_c 6.9385
_cell_angle_alpha 65.55
_cell_angle_beta 65.22
_cell_angle_gamma 66.09
loop_
_space_group_symop_operation_xyz
'x,y,z'
'-x,-y,-z'
loop_
_atom_site_label
_atom_site_type_symbol
_atom_site_fract_x
_atom_site_fract_y
_atom_site_fract_z
Ba1 Ba 0.0000 0.0000 0.0000
Ac1 Ac 0.2477 0.2762 0.3100
Cr1 Cr 0.4966 0.6573 0.3141
N1 N 0.1756 0.7409 0.3595
N2 N 0.3247 0.5105 0.8732
N3 N 0.3995 0.1252 0.6779
```

Simulated powder diffractogram of CsBaAcI6 for Cu Kα X-rays, from DFT lattice parameters and positions (GGA-PBE).
Intensities are scaled so that the largest is 100.

Largest 10 diffraction maxima, in order of falling intensity, 2θ = 10–90°:
| 2θ/deg | I (rel.) | index |
| --- | --- | --- |
| 22.87 | 100 | 1 1 2 |
| 29.88 | 89 | 1 1 4 |
| 15.90 | 57 | 1 0 2 |
| 35.07 | 52 | 3 0 0 |
| 32.78 | 30 | 2 1 2 |
| 39.06 | 27 | 2 -1 6 |
| 58.08 | 21 | 3 0 8 |
| 46.72 | 20 | 4 -2 4 |
| 59.73 | 19 | 4 1 4 |
| 10.92 | 18 | 0 0 2 |

Structure:
```
data_CsBaAcI6
_chemical_formula_sum 'Cs2 Ba2 Ac2 I12'
_space_group_name_H-M_alt 'P -3 1 c'
_space_group_IT_number 163
_space_group_name_Hall '-P 3 2c'
_cell_length_a 8.8652
_cell_length_b 8.8652
_cell_length_c 16.2013
_cell_angle_alpha 90.00
_cell_angle_beta 90.00
_cell_angle_gamma 120.00
loop_
_atom_site_label
_atom_site_type_symbol
_atom_site_fract_x
_atom_site_fract_y
_atom_site_fract_z
Cs1 Cs 0.0000 0.0000 0.0000
Ba1 Ba 0.3333 0.6667 0.2500
Ac1 Ac 0.3333 0.6667 0.7500
I1 I 0.0168 0.3816 0.6326
```

Simulated powder diffractogram of Cs3BaAc2S6 for Cu Kα X-rays, from DFT lattice parameters and positions (GGA-PBE).
Intensities are scaled so that the largest is 100.

Largest 10 diffraction maxima, in order of falling intensity, 2θ = 10–90°:
| 2θ/deg | I (rel.) | index |
| --- | --- | --- |
| 26.91 | 100 | 1 3 1 |
| 23.66 | 60 | 2 0 0 |
| 37.34 | 37 | 2 0 2 |
| 39.47 | 36 | 3 3 -1 |
| 21.95 | 26 | 0 0 2 |
| 45.62 | 25 | 3 3 1 |
| 48.42 | 19 | 4 0 0 |
| 64.18 | 16 | 5 3 -3 |
| 43.73 | 16 | 1 3 3 |
| 61.19 | 15 | 3 3 3 |

Structure:
```
data_Cs3BaAc2S6
_chemical_formula_sum 'Cs6 Ba2 Ac4 S12'
_space_group_name_H-M_alt 'C 1 2/m 1'
_space_group_IT_number 12
_cell_length_a 7.9090
_cell_length_b 13.6949
_cell_length_c 8.5166
_cell_angle_alpha 90.00
_cell_angle_beta 108.03
_cell_angle_gamma 90.00
loop_
_space_group_symop_operation_xyz
'x,y,z'
'-x,-y,-z'
'-x,y,-z'
'x,-y,z'
'x+1/2,y+1/2,z'
'-x+1/2,-y+1/2,-z'
'-x+1/2,y+1/2,-z'
'x+1/2,-y+1/2,z'
loop_
_atom_site_label
_atom_site_type_symbol
_atom_site_fract_x
_atom_site_fract_y
_atom_site_fract_z
Cs1 Cs 0.0000 0.0000 0.0000
Cs2 Cs 0.0000 0.3372 0.0000
Ba1 Ba 0.0000 0.5000 0.5000
Ac1 Ac 0.0000 0.1670 0.5000
S1 S 0.2133 0.0000 0.6949
S2 S 0.2414 0.3240 0.6963
```